This entry pairs a crystal structure of Mn4SiTeCl2O7 with its theoretical X-ray diffraction stick pattern. Radiation: Cu Kα, 1.54184 Å. Structure: a DFT-relaxed cell (GGA+U, the Materials Project).

Structure:
a = 5.5416 Å, b = 6.5229 Å, c = 12.9061 Å
α = 90.07°, β = 93.80°, γ = 90.13°
Space group P-1 (No. 2)
Symmetry-distinct sites (fractional):
Mn  0.0171  0.2498  0.3316 [2 per cell]
Mn  0.1448  0.2514  0.8330 [2 per cell]
Mn  0.3589  0.0062  0.1410 [2 per cell]
Mn  0.3591  0.4957  0.1404 [2 per cell]
Si  0.1554  0.7505  0.9380 [2 per cell]
Te  0.2954  0.7508  0.3541 [2 per cell]
Cl  0.1421  0.2498  0.5153 [2 per cell]
Cl  0.4262  0.7501  0.6778 [2 per cell]
O  0.1062  0.5450  0.2795 [2 per cell]
O  0.1057  0.9547  0.2788 [2 per cell]
O  0.1258  0.2505  0.1127 [2 per cell]
O  0.1619  0.7506  0.0677 [2 per cell]
O  0.2911  0.5378  0.9043 [2 per cell]
O  0.2908  0.9632  0.9039 [2 per cell]
O  0.4853  0.2494  0.7564 [2 per cell]

Peak list (10 most intense, 10° ≤ 2θ ≤ 90°, low angle first)
d 6.439, I 57.6, (0 0 2)
d 4.963, I 59.7, (1 0 1)
d 3.261, I 52.0, (0 2 0)
d 3.219, I 61.2, (0 0 4)
d 3.162, I 52.8, (0 2 -1)
d 3.088, I 100.0, (1 1 -3)
d 2.935, I 65.9, (1 1 3)
d 2.597, I 52.2, (0 2 3)
d 2.546, I 58.7, (1 -2 2)
d 2.527, I 55.9, (2 1 -1)


This entry pairs a crystal structure of Sr4Mn3Cl2O8 with its theoretical X-ray diffraction stick pattern. Radiation: Cu Kα, 1.54184 Å. Structure: a DFT-relaxed cell (GGA+U, the Materials Project).

Structure:
a = 3.9195 Å, b = 3.9195 Å, c = 32.8795 Å
α = 90.00°, β = 90.00°, γ = 90.00°
Space group I4/mmm (No. 139)
Symmetry-distinct sites (fractional):
Sr  0.0000  0.0000  0.0571 [4 per cell]
Sr  0.0000  0.0000  0.1780 [4 per cell]
Mn  0.0000  0.0000  0.3804 [4 per cell]
Mn  0.0000  0.0000  0.5000 [2 per cell]
Cl  0.0000  0.0000  0.2855 [4 per cell]
O  0.0000  0.0000  0.4401 [4 per cell]
O  0.0000  0.5000  0.0000 [4 per cell]
O  0.0000  0.5000  0.1288 [8 per cell]

Peak list (10 most intense, 10° ≤ 2θ ≤ 90°, low angle first)
d 3.009, I 12.3, (1 0 7)
d 2.772, I 60.0, (1 1 0)
d 2.672, I 100.0, (1 0 9)
d 2.298, I 23.7, (1 1 8)
d 2.055, I 9.5, (0 0 16)
d 1.960, I 38.9, (2 0 0)
d 1.580, I 38.4, (2 1 9)
d 1.525, I 10.9, (1 1 18)
d 1.418, I 10.2, (2 0 16)
d 1.386, I 11.3, (2 2 0)


This entry pairs a crystal structure of Mo6N2Cl14O with its theoretical X-ray diffraction stick pattern. Radiation: Cu Kα, 1.54184 Å. Structure: a DFT-relaxed cell (GGA+U, the Materials Project).

Structure:
a = 19.8417 Å, b = 15.7232 Å, c = 9.2955 Å
α = 90.00°, β = 113.71°, γ = 90.00°
Space group C2/c (No. 15)
Symmetry-distinct sites (fractional):
Mo  0.1563  0.1866  0.3151 [8 per cell]
Mo  0.1916  0.3696  0.4426 [8 per cell]
Mo  0.2060  0.2246  0.6451 [8 per cell]
N  0.0000  0.3258  0.7500 [4 per cell]
N  0.0000  0.5000  0.0000 [4 per cell]
Cl  0.0563  0.1153  0.1154 [8 per cell]
Cl  0.0844  0.2766  0.4350 [8 per cell]
Cl  0.1260  0.4984  0.8758 [8 per cell]
Cl  0.1494  0.1909  0.8182 [8 per cell]
Cl  0.1646  0.3182  0.1626 [8 per cell]
Cl  0.1815  0.0749  0.5283 [8 per cell]
Cl  0.2390  0.3771  0.7435 [8 per cell]
O  0.0000  0.0504  0.7500 [4 per cell]

Peak list (10 most intense, 10° ≤ 2θ ≤ 90°, low angle first)
d 7.986, I 100.0, (1 1 -1)
d 7.862, I 41.5, (0 2 0)
d 6.192, I 15.9, (1 1 1)
d 5.944, I 16.8, (2 2 0)
d 5.821, I 12.0, (3 1 -1)
d 2.810, I 10.9, (4 4 -2)
d 2.666, I 6.6, (0 2 3)
d 2.581, I 7.4, (3 3 2)
d 2.312, I 7.0, (4 6 -1)
d 2.149, I 11.2, (9 1 -1)


This entry pairs a crystal structure of NdMoClO4 with its theoretical X-ray diffraction stick pattern. Radiation: Cu Kα, 1.54184 Å. Structure: a DFT-relaxed cell (GGA+U, the Materials Project).

Structure:
a = 7.0345 Å, b = 20.1765 Å, c = 7.5533 Å
α = 90.00°, β = 90.00°, γ = 90.00°
Space group Pbam (No. 55)
Symmetry-distinct sites (fractional):
Nd  0.0272  0.1111  0.0000 [4 per cell]
Nd  0.2305  0.8598  0.5000 [4 per cell]
Mo  0.0825  0.3179  0.0000 [4 per cell]
Mo  0.2118  0.0678  0.5000 [4 per cell]
Cl  0.0348  0.2448  0.5000 [4 per cell]
Cl  0.2414  0.9916  0.0000 [4 per cell]
O  0.0418  0.2310  0.0000 [4 per cell]
O  0.0552  0.6011  0.5000 [4 per cell]
O  0.0711  0.0975  0.3145 [8 per cell]
O  0.1410  0.6420  0.0000 [4 per cell]
O  0.2235  0.9798  0.5000 [4 per cell]
O  0.2295  0.3440  0.1854 [8 per cell]

Peak list (10 most intense, 10° ≤ 2θ ≤ 90°, low angle first)
d 6.642, I 30.1, (1 1 0)
d 5.044, I 43.6, (0 4 0)
d 4.099, I 35.3, (1 4 0)
d 3.777, I 100.0, (0 0 2)
d 3.500, I 22.8, (1 5 0)
d 3.189, I 42.8, (2 0 1)
d 3.176, I 26.2, (1 5 1)
d 2.815, I 25.9, (1 6 1)
d 2.695, I 39.7, (2 4 1)
d 2.047, I 28.3, (2 0 3)


This entry pairs a crystal structure of MoCl2O with its theoretical X-ray diffraction stick pattern. Radiation: Cu Kα, 1.54184 Å. Structure: a DFT-relaxed cell (GGA+U, the Materials Project).

Structure:
a = 3.6861 Å, b = 3.8644 Å, c = 13.0432 Å
α = 90.00°, β = 90.00°, γ = 90.00°
Space group Immm (No. 71)
Symmetry-distinct sites (fractional):
Mo  0.0000  0.0000  0.0000 [2 per cell]
Cl  0.0000  0.5000  0.3690 [4 per cell]
O  0.0000  0.5000  0.0000 [2 per cell]

Peak list (10 most intense, 10° ≤ 2θ ≤ 90°, low angle first)
d 6.522, I 100.0, (0 0 2)
d 3.705, I 74.0, (0 1 1)
d 3.547, I 16.2, (1 0 1)
d 2.812, I 61.0, (1 0 3)
d 2.469, I 21.5, (1 1 2)
d 2.129, I 21.2, (1 0 5)
d 2.065, I 37.4, (1 1 4)
d 1.932, I 11.0, (0 2 0)
d 1.650, I 13.2, (2 1 1)
d 1.592, I 18.8, (1 2 3)